1.
Starting from a GGA-PBE-relaxed structure, the powder diffraction line list of Pr2Al3Ag was simulated for Cu Kα (λ = 1.5418 Å).
Kinematic intensities with the Lorentz-polarization factor, no thermal factor.

Structure:
a = 9.288 Å, b = 8.925 Å, c = 6.037 Å
α = 73.93°, β = 67.42°, γ = 38.65°
Positions (direct):
Pr: 0.242 0.758 0.758
Pr: 0.250 0.250 0.250
Pr: 0.750 0.750 0.750
Pr: 0.758 0.242 0.242
Al: 0.170 0.664 0.336
Al: 0.335 0.335 0.665
Al: 0.336 0.830 0.170
Al: 0.664 0.170 0.830
Al: 0.665 0.665 0.335
Al: 0.830 0.336 0.664
Ag: 0.168 0.168 0.832
Ag: 0.832 0.832 0.168

Largest 10 diffraction maxima, in order of rising 2θ, 10 to 80 degrees two-theta:
two_theta, d (Å), Rel. int.
22.1, 4.021, 30.4
22.3, 3.980, 7.1
32.1, 2.785, 100.0
38.8, 2.321, 47.0
47.1, 1.931, 9.1
51.2, 1.783, 26.9
62.6, 1.485, 22.4
66.1, 1.414, 24.4
70.2, 1.340, 7.9
77.9, 1.226, 7.4

2.
Starting from a GGA-PBE-relaxed structure, the powder diffraction line list of CuBi2Sb2 was simulated for Cu Kα (λ = 1.5418 Å).
Kinematic intensities with the Lorentz-polarization factor, no thermal factor.

Structure:
a = 6.736 Å, b = 6.736 Å, c = 6.403 Å
α = 90.00°, β = 90.00°, γ = 90.00°
Positions (direct):
Cu: 0.000 0.000 0.000
Cu: 0.500 0.500 0.000
Bi: 0.201 0.299 0.500
Bi: 0.299 0.799 0.500
Bi: 0.701 0.201 0.500
Bi: 0.799 0.701 0.500
Sb: 0.153 0.347 0.000
Sb: 0.347 0.847 0.000
Sb: 0.653 0.153 0.000
Sb: 0.847 0.653 0.000

Largest 10 diffraction maxima, in order of rising 2θ, 10 to 80 degrees two-theta:
two_theta, d (Å), Rel. int.
26.5, 3.368, 46.8
27.9, 3.201, 89.1
29.7, 3.012, 100.0
30.0, 2.981, 58.0
38.8, 2.320, 35.1
41.1, 2.194, 83.3
47.6, 1.911, 22.0
51.5, 1.773, 22.9
56.3, 1.634, 24.6
64.0, 1.455, 33.7

3.
Starting from a GGA-PBE-relaxed structure, the powder diffraction line list of AcNd8Y3 was simulated for Cu Kα (λ = 1.5418 Å).
Kinematic intensities with the Lorentz-polarization factor, no thermal factor.

Structure:
a = 9.065 Å, b = 9.065 Å, c = 6.548 Å
α = 110.52°, β = 110.52°, γ = 59.82°
Positions (direct):
Ac: 0.000 0.000 0.000
Nd: 0.177 0.087 0.638
Nd: 0.179 0.329 0.342
Nd: 0.516 0.140 0.081
Nd: 0.608 0.252 0.679
Nd: 0.671 0.821 0.658
Nd: 0.748 0.392 0.321
Nd: 0.860 0.484 0.919
Nd: 0.913 0.823 0.362
Y: 0.211 0.535 0.903
Y: 0.365 0.635 0.500
Y: 0.465 0.789 0.097

Largest 10 diffraction maxima, in order of rising 2θ, 10 to 80 degrees two-theta:
two_theta, d (Å), Rel. int.
11.6, 7.653, 15.1
24.7, 3.598, 19.3
29.6, 3.018, 40.1
29.8, 3.002, 47.3
29.9, 2.990, 80.7
30.2, 2.960, 65.2
30.3, 2.949, 100.0
30.5, 2.927, 33.6
31.8, 2.813, 16.6
33.8, 2.651, 57.9

4.
Starting from a GGA-PBE-relaxed structure, the powder diffraction line list of NpTiV was simulated for Cu Kα (λ = 1.5418 Å).
Kinematic intensities with the Lorentz-polarization factor, no thermal factor.

Structure:
a = 5.298 Å, b = 5.298 Å, c = 5.443 Å
α = 120.41°, β = 120.41°, γ = 51.47°
Positions (direct):
Np: 0.000 0.000 0.000
Np: 0.000 0.000 0.500
Ti: 0.338 0.338 0.674
Ti: 0.662 0.662 0.326
V: 0.323 0.323 0.160
V: 0.677 0.677 0.840

Largest 10 diffraction maxima, in order of rising 2θ, 10 to 80 degrees two-theta:
two_theta, d (Å), Rel. int.
22.4, 3.975, 100.0
22.5, 3.948, 46.8
39.2, 2.300, 39.5
39.4, 2.284, 76.9
40.1, 2.251, 85.8
40.3, 2.240, 22.0
40.4, 2.230, 35.9
52.0, 1.757, 23.0
57.6, 1.601, 25.3
71.7, 1.316, 23.8

5.
Starting from a GGA-PBE-relaxed structure, the powder diffraction line list of Ac3YEr was simulated for Cu Kα (λ = 1.5418 Å).
Kinematic intensities with the Lorentz-polarization factor, no thermal factor.

Structure:
a = 6.520 Å, b = 9.399 Å, c = 13.258 Å
α = 90.00°, β = 90.00°, γ = 90.00°
Positions (direct):
Ac: 0.089 0.173 0.075
Ac: 0.089 0.327 0.425
Ac: 0.139 0.250 0.750
Ac: 0.361 0.750 0.750
Ac: 0.411 0.673 0.425
Ac: 0.411 0.827 0.075
Ac: 0.589 0.173 0.925
Ac: 0.589 0.327 0.575
Ac: 0.639 0.250 0.250
Ac: 0.861 0.750 0.250
Ac: 0.911 0.673 0.575
Ac: 0.911 0.827 0.925
Y: 0.250 0.000 0.557
Y: 0.250 0.500 0.943
Y: 0.750 0.000 0.443
Y: 0.750 0.500 0.057
Er: 0.250 0.000 0.306
Er: 0.250 0.500 0.194
Er: 0.750 0.000 0.694
Er: 0.750 0.500 0.806

Largest 10 diffraction maxima, in order of rising 2θ, 10 to 80 degrees two-theta:
two_theta, d (Å), Rel. int.
24.3, 3.662, 45.0
26.1, 3.409, 100.0
27.0, 3.305, 27.8
29.0, 3.080, 57.3
29.3, 3.049, 49.2
31.0, 2.887, 63.8
31.7, 2.819, 36.1
46.6, 1.950, 26.0
50.9, 1.795, 23.4
58.7, 1.572, 23.2

6.
Starting from a GGA-PBE-relaxed structure, the powder diffraction line list of ErFe2Ge4 was simulated for Cu Kα (λ = 1.5418 Å).
Kinematic intensities with the Lorentz-polarization factor, no thermal factor.

Structure:
a = 16.621 Å, b = 4.002 Å, c = 6.598 Å
α = 90.00°, β = 90.00°, γ = 90.00°
Positions (direct):
Er: 0.143 0.250 0.046
Er: 0.357 0.750 0.546
Er: 0.643 0.250 0.454
Er: 0.857 0.750 0.954
Fe: 0.042 0.750 0.757
Fe: 0.205 0.250 0.532
Fe: 0.295 0.750 0.032
Fe: 0.458 0.250 0.257
Fe: 0.542 0.750 0.743
Fe: 0.705 0.250 0.968
Fe: 0.795 0.750 0.468
Fe: 0.958 0.250 0.243
Ge: 0.025 0.750 0.134
Ge: 0.061 0.250 0.503
Ge: 0.190 0.750 0.750
Ge: 0.195 0.750 0.323
Ge: 0.305 0.250 0.823
Ge: 0.310 0.250 0.250
Ge: 0.439 0.750 0.003
Ge: 0.475 0.250 0.634
Ge: 0.525 0.750 0.366
Ge: 0.561 0.250 0.997
Ge: 0.690 0.750 0.750
Ge: 0.695 0.750 0.177
Ge: 0.805 0.250 0.677
Ge: 0.810 0.250 0.250
Ge: 0.939 0.750 0.497
Ge: 0.975 0.250 0.866

Largest 10 diffraction maxima, in order of rising 2θ, 10 to 80 degrees two-theta:
two_theta, d (Å), Rel. int.
36.9, 2.434, 100.0
37.7, 2.384, 67.1
38.9, 2.313, 35.8
39.6, 2.278, 25.1
40.4, 2.234, 37.9
44.3, 2.044, 12.8
45.3, 2.001, 43.8
52.3, 1.748, 12.6
62.3, 1.491, 20.6
70.6, 1.333, 12.5